Diffraction record for CuW2O7. The X-ray powder pattern is simulated, not measured: it uses the GGA+U geometry in the Materials Project and λ = 1.5418 Å (Cu Kα).
Peak positions follow from Bragg's law for the DFT cell and can differ from measured ones.

Atomic structure:
Cell: 11.817 9.325 10.687 Å, 90.00 93.15 90.00°
Space group P2/c (No. 13)
Asymmetric unit:
Cu  0.000  0.070  0.250
Cu  0.305  0.432  0.912
W  0.032  0.203  0.539
W  0.332  0.252  0.619
W  0.341  0.291  0.209
O  0.002  0.370  0.602
O  0.017  0.214  0.125
O  0.047  0.067  0.878
O  0.190  0.166  0.562
O  0.262  0.429  0.287
O  0.298  0.126  0.267
O  0.303  0.292  0.042
O  0.333  0.291  0.785
O  0.350  0.418  0.532
O  0.445  0.139  0.590
O  0.500  0.320  0.250

Principal peaks in the range 10° ≤ 2θ ≤ 90°, by intensity:
(hkl), 2θ/deg, I/Imax
3 0 0, 22.61, 100
1 2 -2, 26.22, 83
1 0 -2, 17.85, 81
0 2 0, 19.03, 65
0 1 3, 26.83, 61
3 2 0, 29.72, 44
1 1 0, 12.10, 37
3 1 3, 36.26, 36
2 2 2, 30.09, 34
4 2 -2, 39.17, 29
1 1 1, 14.91, 23
2 0 2, 23.08, 22